Starting from a DFT-relaxed cell (GGA-PBE, the Materials Project), the powder diffractogram of TlCr5Se8 was simulated for Cu Kα (λ = 1.5418 Å).

Cell and atoms:
```
data_TlCr5Se8
_chemical_formula_sum 'Tl2 Cr10 Se16'
_symmetry_space_group_name_H-M 'C 1 2/m 1'
_symmetry_Int_Tables_number 12
_symmetry_space_group_name_Hall '-C 2y'
_cell_length_a 19.0340
_cell_length_b 3.6806
_cell_length_c 9.0844
_cell_angle_alpha 90.00
_cell_angle_beta 105.35
_cell_angle_gamma 90.00
loop_
_atom_site_label
_atom_site_type_symbol
_atom_site_fract_x
_atom_site_fract_y
_atom_site_fract_z
Tl1 Tl 0.0000 0.0000 0.0000
Cr1 Cr 0.0000 0.5000 0.5000
Cr2 Cr 0.1577 0.0000 0.4750
Cr3 Cr 0.2042 0.0000 0.8333
Se1 Se 0.0758 0.0000 0.6525
Se2 Se 0.0838 0.5000 0.3237
Se3 Se 0.1707 0.5000 0.9888
Se4 Se 0.2383 0.5000 0.6557
```

Largest 8 diffraction maxima, by intensity, 2θ = 10–80°:
| 2θ (°) | I (rel.) |
| --- | --- |
| 31.4 | 1000 |
| 32.6 | 713 |
| 49.7 | 514 |
| 30.9 | 448 |
| 39.1 | 327 |
| 19.3 | 294 |
| 33.5 | 287 |
| 45.1 | 287 |